Diffraction record for LiMnCu2Au. The XRD peak list is computed, not measured: it uses a cell relaxed with PBE and λ = 1.5418 Å (Cu Kα).
Kinematic intensities with the Lorentz-polarization factor, no thermal factor.

Top 10 peaks for 2θ from 10° to 90°, most intense first:
| two_theta | Rel. int. |
| --- | --- |
| 37.2 | 100 |
| 44.1 | 32 |
| 29.9 | 25 |
| 21.6 | 23 |
| 76.5 | 23 |
| 62.0 | 23 |
| 41.3 | 20 |
| 72.6 | 13 |
| 79.2 | 11 |
| 54.2 | 10 |

Atomic structure:
a b c (Å): 4.108 4.108 4.371
angles (deg): 90.00 90.00 90.00
Fractional positions:
Li  0.000  0.000  0.000
Mn  0.000  0.000  0.500
Cu  0.000  0.500  0.000
Cu  0.500  0.000  0.000
Au  0.500  0.500  0.500

Diffraction record for Li2CuSi2Au5. The XRD peak list is computed, not measured: it uses a cell relaxed with PBE and λ = 1.5418 Å (Cu Kα).
Kinematic intensities with the Lorentz-polarization factor, no thermal factor.

Top 10 peaks for 2θ from 10° to 90°, most intense first:
| two_theta | Rel. int. |
| --- | --- |
| 38.8 | 100 |
| 26.8 | 72 |
| 45.6 | 54 |
| 36.2 | 50 |
| 27.5 | 48 |
| 41.9 | 42 |
| 19.4 | 35 |
| 31.5 | 31 |
| 17.3 | 30 |
| 71.0 | 26 |

Atomic structure:
a b c (Å): 10.238 10.238 3.321
angles (deg): 90.00 90.00 90.00
Fractional positions:
Li  0.170  0.330  0.000
Li  0.330  0.830  0.000
Li  0.670  0.170  0.000
Li  0.830  0.670  0.000
Cu  0.000  0.000  0.000
Cu  0.500  0.500  0.000
Si  0.135  0.635  0.000
Si  0.365  0.135  0.000
Si  0.635  0.865  0.000
Si  0.865  0.365  0.000
Au  0.000  0.500  0.500
Au  0.063  0.806  0.500
Au  0.194  0.063  0.500
Au  0.306  0.563  0.500
Au  0.437  0.306  0.500
Au  0.500  0.000  0.500
Au  0.563  0.694  0.500
Au  0.694  0.437  0.500
Au  0.806  0.937  0.500
Au  0.937  0.194  0.500

Diffraction record for Li2Cu7Sn2Au. The XRD peak list is computed, not measured: it uses a cell relaxed with PBE and λ = 1.5418 Å (Cu Kα).
Kinematic intensities with the Lorentz-polarization factor, no thermal factor.

Top 10 peaks for 2θ from 10° to 90°, most intense first:
| two_theta | Rel. int. |
| --- | --- |
| 44.6 | 100 |
| 23.1 | 96 |
| 32.0 | 83 |
| 40.0 | 78 |
| 40.1 | 77 |
| 39.7 | 76 |
| 47.3 | 51 |
| 47.9 | 48 |
| 82.5 | 36 |
| 36.0 | 26 |

Atomic structure:
a b c (Å): 3.848 3.848 12.190
angles (deg): 90.12 90.12 90.61
Fractional positions:
Li  0.000  0.000  0.188
Li  0.000  0.000  0.812
Cu  0.000  0.000  0.500
Cu  0.001  0.499  0.347
Cu  0.243  0.243  0.000
Cu  0.499  0.001  0.347
Cu  0.501  0.999  0.653
Cu  0.757  0.757  0.000
Cu  0.999  0.501  0.653
Sn  0.499  0.499  0.811
Sn  0.501  0.501  0.189
Au  0.500  0.500  0.500

Diffraction record for MgCu12Au6. The XRD peak list is computed, not measured: it uses a cell relaxed with PBE and λ = 1.5418 Å (Cu Kα).
Kinematic intensities with the Lorentz-polarization factor, no thermal factor.

Top 10 peaks for 2θ from 10° to 90°, most intense first:
| two_theta | Rel. int. |
| --- | --- |
| 42.4 | 100 |
| 44.6 | 61 |
| 47.6 | 49 |
| 26.7 | 39 |
| 38.1 | 39 |
| 70.2 | 30 |
| 27.4 | 30 |
| 24.6 | 26 |
| 88.1 | 25 |
| 35.1 | 22 |

Atomic structure:
a b c (Å): 7.013 7.013 7.013
angles (deg): 107.11 107.11 107.11
Fractional positions:
Mg  0.000  0.000  0.000
Cu  0.151  0.836  0.288
Cu  0.164  0.712  0.849
Cu  0.186  0.590  0.481
Cu  0.288  0.151  0.836
Cu  0.410  0.519  0.814
Cu  0.481  0.186  0.590
Cu  0.519  0.814  0.410
Cu  0.590  0.481  0.186
Cu  0.712  0.849  0.164
Cu  0.814  0.410  0.519
Cu  0.836  0.288  0.151
Cu  0.849  0.164  0.712
Au  0.081  0.193  0.458
Au  0.193  0.458  0.081
Au  0.458  0.081  0.193
Au  0.542  0.919  0.807
Au  0.807  0.542  0.919
Au  0.919  0.807  0.542

Diffraction record for Mg3CuAu6. The XRD peak list is computed, not measured: it uses a cell relaxed with PBE and λ = 1.5418 Å (Cu Kα).
Kinematic intensities with the Lorentz-polarization factor, no thermal factor.

Top 10 peaks for 2θ from 10° to 90°, most intense first:
| two_theta | Rel. int. |
| --- | --- |
| 39.3 | 100 |
| 39.7 | 100 |
| 26.7 | 76 |
| 38.4 | 62 |
| 37.7 | 40 |
| 42.5 | 31 |
| 28.6 | 30 |
| 54.9 | 28 |
| 70.1 | 21 |
| 70.4 | 19 |

Atomic structure:
a b c (Å): 7.818 4.683 10.078
angles (deg): 90.00 108.95 90.00
Fractional positions:
Mg  0.051  0.250  0.388
Mg  0.147  0.750  0.218
Mg  0.278  0.250  0.993
Mg  0.722  0.750  0.007
Mg  0.853  0.250  0.782
Mg  0.949  0.750  0.612
Cu  0.455  0.250  0.578
Cu  0.545  0.750  0.422
Au  0.024  0.750  0.917
Au  0.156  0.250  0.678
Au  0.253  0.750  0.512
Au  0.333  0.750  0.829
Au  0.365  0.250  0.298
Au  0.448  0.750  0.140
Au  0.552  0.250  0.860
Au  0.635  0.750  0.702
Au  0.667  0.250  0.171
Au  0.747  0.250  0.488
Au  0.844  0.750  0.322
Au  0.976  0.250  0.083

Diffraction record for MgCuAu. The XRD peak list is computed, not measured: it uses a cell relaxed with PBE and λ = 1.5418 Å (Cu Kα).
Kinematic intensities with the Lorentz-polarization factor, no thermal factor.

Top 10 peaks for 2θ from 10° to 90°, most intense first:
| two_theta | Rel. int. |
| --- | --- |
| 40.9 | 100 |
| 21.0 | 92 |
| 34.7 | 53 |
| 31.7 | 28 |
| 56.2 | 27 |
| 25.2 | 24 |
| 42.7 | 22 |
| 53.0 | 16 |
| 66.2 | 16 |
| 48.1 | 16 |

Atomic structure:
a b c (Å): 3.536 3.786 4.233
angles (deg): 90.00 90.00 90.00
Fractional positions:
Mg  0.000  0.000  0.000
Cu  0.500  0.000  0.500
Au  0.000  0.500  0.500

Please write out number 3 again, unchanged.
Diffraction record for Li2Cu7Sn2Au. The XRD peak list is computed, not measured: it uses a cell relaxed with PBE and λ = 1.5418 Å (Cu Kα).
Kinematic intensities with the Lorentz-polarization factor, no thermal factor.

Top 10 peaks for 2θ from 10° to 90°, most intense first:
| two_theta | Rel. int. |
| --- | --- |
| 44.6 | 100 |
| 23.1 | 96 |
| 32.0 | 83 |
| 40.0 | 78 |
| 40.1 | 77 |
| 39.7 | 76 |
| 47.3 | 51 |
| 47.9 | 48 |
| 82.5 | 36 |
| 36.0 | 26 |

Atomic structure:
a b c (Å): 3.848 3.848 12.190
angles (deg): 90.12 90.12 90.61
Fractional positions:
Li  0.000  0.000  0.188
Li  0.000  0.000  0.812
Cu  0.000  0.000  0.500
Cu  0.001  0.499  0.347
Cu  0.243  0.243  0.000
Cu  0.499  0.001  0.347
Cu  0.501  0.999  0.653
Cu  0.757  0.757  0.000
Cu  0.999  0.501  0.653
Sn  0.499  0.499  0.811
Sn  0.501  0.501  0.189
Au  0.500  0.500  0.500